This entry pairs a crystal structure of Pr3Dy4Y5 with its simulated powder X-ray diffraction pattern. Radiation: copper Kα. Structure: a crystal structure in Alexandria, relaxed with GGA-PBE.
Intensities are scaled so that the largest is 100.

The 12 most intense peaks (2θ from 10° to 90°), by intensity:
index, d (Å), Rel. int.
2 0 0, 2.936, 100.0
2 0 -3, 2.545, 33.7
2 0 3, 1.798, 23.7
1 2 1, 2.538, 17.0
1 2 4, 1.533, 14.1
3 -2 2, 1.536, 14.1
3 2 1, 1.531, 13.9
4 0 0, 1.467, 9.1
2 0 6, 1.167, 7.2
5 2 -5, 1.136, 6.6
1 2 -5, 1.801, 6.1
3 2 -2, 1.794, 5.9

Crystal structure
Cell lengths 6.2204, 7.1922, 9.5269 Å; angles 101.02, 109.04, 90.15 degrees
Space group P-1 (No. 2)
Unique sites:
Pr  0.0000  0.0000  0.0000 x1
Pr  0.4991  0.9158  0.6650 x2
Dy  0.0005  0.1686  0.6668 x2
Dy  0.4986  0.5827  0.3324 x2
Y  0.0000  0.5000  0.0000 x1
Y  0.0015  0.3359  0.3346 x2
Y  0.4991  0.2528  0.9999 x2